Record 1
For Li4Mn3Ni3O12, a structure optimized by DFT (PBE+U) gives the computed XRD peak list in this record (λ = 1.5418 Å (Cu Kα)).
No peak broadening, texture or thermal motion is included.

Structural model:
```
data_Li4Mn3Ni3O12
_chemical_formula_sum 'Li4 Mn3 Ni3 O12'
_symmetry_space_group_name_H-M 'P -1'
_symmetry_Int_Tables_number 2
_symmetry_space_group_name_Hall '-P 1'
_cell_length_a 5.860
_cell_length_b 5.940
_cell_length_c 6.534
_cell_angle_alpha 104.07
_cell_angle_beta 102.80
_cell_angle_gamma 91.65
loop_
_atom_site_label
_atom_site_type_symbol
_atom_site_fract_x
_atom_site_fract_y
_atom_site_fract_z
Li1 Li 0.000 0.000 0.000
Li2 Li 0.176 0.659 0.654
Li3 Li 0.500 0.000 0.000
Mn1 Mn 0.164 0.172 0.660
Mn2 Mn 0.500 0.500 0.000
Ni1 Ni 0.000 0.500 0.000
Ni2 Ni 0.337 0.831 0.337
O1 O 0.065 0.069 0.345
O2 O 0.076 0.620 0.331
O3 O 0.254 0.257 0.971
O4 O 0.274 0.735 0.024
O5 O 0.402 0.412 0.690
O6 O 0.403 0.952 0.647
```

Largest 10 diffraction maxima, by angle, 15° ≤ 2θ ≤ 90°:
hkl  2θ/deg  intensity
0 1 -1  18.23  100
-2 1 1  35.58  13
2 1 0  36.45  23
0 2 1  37.82  7
2 -2 0  42.74  21
2 2 -1  44.08  38
0 3 0  47.53  8
2 3 -2  57.87  10
0 4 -1  62.61  10
4 0 -1  63.55  11


Record 2
For CrO2, a structure optimized by DFT (PBE+U) gives the computed XRD peak list in this record (λ = 1.5418 Å (Cu Kα)).
No peak broadening, texture or thermal motion is included.

Structural model:
```
data_CrO2
_chemical_formula_sum 'Cr8 O16'
_symmetry_space_group_name_H-M 'P m m n'
_symmetry_Int_Tables_number 59
_cell_length_a 5.759
_cell_length_b 10.914
_cell_length_c 5.223
_cell_angle_alpha 90.00
_cell_angle_beta 90.00
_cell_angle_gamma 90.00
loop_
_symmetry_equiv_pos_as_xyz
'x,y,z'
'-x,-y,-z'
'-x+1/2,-y+1/2,z'
'x+1/2,y+1/2,-z'
'x+1/2,-y,-z'
'-x+1/2,y,z'
'-x,y+1/2,-z'
'x,-y+1/2,z'
loop_
_atom_site_label
_atom_site_type_symbol
_atom_site_fract_x
_atom_site_fract_y
_atom_site_fract_z
Cr1 Cr 0.000 0.000 0.000
Cr2 Cr 0.250 0.009 0.492
O1 O 0.002 0.588 0.665
O2 O 0.250 0.090 0.837
O3 O 0.250 0.586 0.166
```

Largest 10 diffraction maxima, by angle, 15° ≤ 2θ ≤ 90°:
hkl  2θ/deg  intensity
0 2 0  16.24  100
0 0 2  34.34  4
2 0 1  35.60  7
0 2 2  38.20  10
2 2 1  39.36  17
0 4 2  48.23  8
2 4 1  49.20  15
2 0 3  62.32  6
2 6 1  63.01  8
2 2 3  64.87  7


Record 3
For Ca3MnCoO6, a structure optimized by DFT (PBE+U) gives the computed XRD peak list in this record (λ = 1.5418 Å (Cu Kα)).
No peak broadening, texture or thermal motion is included.

Structural model:
```
data_Ca3MnCoO6
_chemical_formula_sum 'Ca6 Mn2 Co2 O12'
_symmetry_space_group_name_H-M 'P 1'
_symmetry_Int_Tables_number 1
_symmetry_space_group_name_Hall 'P 1'
_cell_length_a 6.399
_cell_length_b 6.403
_cell_length_c 6.411
_cell_angle_alpha 92.01
_cell_angle_beta 91.99
_cell_angle_gamma 91.95
loop_
_atom_site_label
_atom_site_type_symbol
_atom_site_fract_x
_atom_site_fract_y
_atom_site_fract_z
Ca1 Ca 0.000 0.000 0.000
Ca2 Ca 0.137 0.863 0.500
Ca3 Ca 0.359 0.359 0.278
Ca4 Ca 0.497 0.221 0.778
Ca5 Ca 0.636 0.722 0.639
Ca6 Ca 0.860 0.498 0.138
Mn1 Mn 0.247 0.611 0.890
Mn2 Mn 0.748 0.110 0.390
Co1 Co 0.502 0.857 0.138
Co2 Co 0.997 0.364 0.636
O1 O 0.035 0.192 0.343
O2 O 0.165 0.324 0.936
O3 O 0.203 0.695 0.176
O4 O 0.292 0.525 0.603
O5 O 0.330 0.897 0.843
O6 O 0.461 0.028 0.436
O7 O 0.535 0.566 0.973
O8 O 0.663 0.155 0.103
O9 O 0.704 0.398 0.474
O10 O 0.792 0.822 0.307
O11 O 0.832 0.065 0.676
O12 O 0.960 0.656 0.808
```

Largest 10 diffraction maxima, by angle, 15° ≤ 2θ ≤ 90°:
hkl  2θ/deg  intensity
0 1 -1  19.27  57
1 2 0  31.73  40
1 1 -2  33.70  100
0 2 2  40.60  29
1 -2 2  41.68  17
1 3 0  45.31  50
3 -1 1  46.96  50
3 2 -1  53.76  14
-1 4 1  61.36  22
2 2 -4  70.84  11


Record 4
For TlCrMo2O8, a structure optimized by DFT (PBE+U) gives the computed XRD peak list in this record (λ = 1.5418 Å (Cu Kα)).
No peak broadening, texture or thermal motion is included.

Structural model:
```
data_TlCrMo2O8
_chemical_formula_sum 'Tl4 Cr4 Mo8 O32'
_symmetry_space_group_name_H-M 'P n m a'
_symmetry_Int_Tables_number 62
_symmetry_space_group_name_Hall '-P 2ac 2n'
_cell_length_a 15.097
_cell_length_b 5.736
_cell_length_c 9.049
_cell_angle_alpha 90.00
_cell_angle_beta 90.00
_cell_angle_gamma 90.00
loop_
_atom_site_label
_atom_site_type_symbol
_atom_site_fract_x
_atom_site_fract_y
_atom_site_fract_z
Tl1 Tl 0.117 0.250 0.059
Cr1 Cr 0.121 0.750 0.678
Mo1 Mo 0.029 0.750 0.295
Mo2 Mo 0.220 0.250 0.487
O1 O 0.036 0.504 0.752
O2 O 0.059 0.750 0.487
O3 O 0.124 0.750 0.181
O4 O 0.134 0.250 0.359
O5 O 0.178 0.750 0.879
O6 O 0.207 0.512 0.599
```

Largest 10 diffraction maxima, by angle, 15° ≤ 2θ ≤ 90°:
hkl  2θ/deg  intensity
2 1 0  19.44  16
2 1 1  21.80  19
2 0 2  22.92  30
3 1 1  25.52  100
2 1 2  27.75  62
4 1 1  30.01  30
0 2 0  31.20  65
0 1 3  33.57  25
3 3 1  52.15  17
5 1 4  53.04  17


Record 5
For MgMn2Al2O6, a structure optimized by DFT (PBE+U) gives the computed XRD peak list in this record (λ = 1.5418 Å (Cu Kα)).
No peak broadening, texture or thermal motion is included.

Structural model:
```
data_MgMn2Al2O6
_chemical_formula_sum 'Mg1 Mn2 Al2 O6'
_symmetry_space_group_name_H-M 'P -1'
_symmetry_Int_Tables_number 2
_symmetry_space_group_name_Hall '-P 1'
_cell_length_a 5.125
_cell_length_b 5.127
_cell_length_c 5.743
_cell_angle_alpha 63.67
_cell_angle_beta 89.96
_cell_angle_gamma 60.04
loop_
_atom_site_label
_atom_site_type_symbol
_atom_site_fract_x
_atom_site_fract_y
_atom_site_fract_z
Mg1 Mg 0.000 0.000 0.000
Mn1 Mn 0.378 0.245 0.130
Al1 Al 0.176 0.649 0.528
O1 O 0.043 0.147 0.271
O2 O 0.190 0.230 0.730
O3 O 0.420 0.540 0.269
```

Largest 10 diffraction maxima, by angle, 15° ≤ 2θ ≤ 90°:
hkl  2θ/deg  intensity
1 0 1  31.43  40
-1 1 1  35.00  100
0 1 -1  36.39  27
1 1 2  36.52  51
1 2 2  39.66  37
2 0 1  51.33  27
2 2 -1  51.41  27
0 2 3  51.54  27
3 0 -1  62.79  48
3 2 2  63.82  22


Record 6
For K8Li3Fe4O16, a structure optimized by DFT (PBE+U) gives the computed XRD peak list in this record (λ = 1.5418 Å (Cu Kα)).
No peak broadening, texture or thermal motion is included.

Structural model:
```
data_K8Li3Fe4O16
_chemical_formula_sum 'K8 Li3 Fe4 O16'
_symmetry_space_group_name_H-M 'P 1'
_symmetry_Int_Tables_number 1
_symmetry_space_group_name_Hall 'P 1'
_cell_length_a 5.553
_cell_length_b 8.451
_cell_length_c 10.948
_cell_angle_alpha 86.27
_cell_angle_beta 84.78
_cell_angle_gamma 89.06
loop_
_atom_site_label
_atom_site_type_symbol
_atom_site_fract_x
_atom_site_fract_y
_atom_site_fract_z
K1 K 0.000 0.000 0.000
K2 K 0.005 0.725 0.535
K3 K 0.090 0.235 0.709
K4 K 0.123 0.511 0.233
K5 K 0.479 0.002 0.478
K6 K 0.520 0.243 0.067
K7 K 0.593 0.756 0.195
K8 K 0.603 0.480 0.736
Li1 Li 0.016 0.766 0.799
Li2 Li 0.078 0.258 0.429
Li3 Li 0.589 0.715 0.934
Fe1 Fe 0.000 0.022 0.301
Fe2 Fe 0.093 0.516 0.935
Fe3 Fe 0.514 0.965 0.800
Fe4 Fe 0.593 0.456 0.431
O1 O 0.108 0.835 0.271
O2 O 0.114 0.543 0.774
O3 O 0.175 0.186 0.262
O4 O 0.240 0.932 0.739
O5 O 0.366 0.549 0.997
O6 O 0.385 0.322 0.490
O7 O 0.489 0.939 0.961
O8 O 0.505 0.641 0.462
O9 O 0.608 0.159 0.777
O10 O 0.631 0.447 0.278
O11 O 0.686 0.796 0.755
O12 O 0.733 0.031 0.236
O13 O 0.868 0.430 0.488
O14 O 0.920 0.682 0.983
O15 O 0.965 0.043 0.460
O16 O 0.992 0.325 0.957
```

Largest 10 diffraction maxima, by angle, 15° ≤ 2θ ≤ 90°:
hkl  2θ/deg  intensity
0 2 0  21.07  54
-1 1 1  21.26  59
1 1 -1  21.61  53
1 2 1  26.85  58
1 -2 1  27.96  76
1 0 3  28.18  58
1 0 -3  30.68  44
2 0 0  32.38  100
0 0 4  32.94  82
2 0 2  35.04  45


Record 7
For Li7Mn5O12, a structure optimized by DFT (PBE+U) gives the computed XRD peak list in this record (λ = 1.5418 Å (Cu Kα)).
No peak broadening, texture or thermal motion is included.

Structural model:
```
data_Li7Mn5O12
_chemical_formula_sum 'Li7 Mn5 O12'
_symmetry_space_group_name_H-M 'P -1'
_symmetry_Int_Tables_number 2
_symmetry_space_group_name_Hall '-P 1'
_cell_length_a 2.992
_cell_length_b 6.488
_cell_length_c 12.101
_cell_angle_alpha 102.41
_cell_angle_beta 94.26
_cell_angle_gamma 103.04
loop_
_atom_site_label
_atom_site_type_symbol
_atom_site_fract_x
_atom_site_fract_y
_atom_site_fract_z
Li1 Li 0.000 0.000 0.000
Li2 Li 0.026 0.000 0.238
Li3 Li 0.330 0.686 0.086
Li4 Li 0.343 0.668 0.578
Mn1 Mn 0.000 0.000 0.500
Mn2 Mn 0.326 0.678 0.841
Mn3 Mn 0.350 0.668 0.329
O1 O 0.131 0.346 0.791
O2 O 0.155 0.337 0.058
O3 O 0.187 0.325 0.545
O4 O 0.211 0.346 0.276
O5 O 0.471 0.011 0.622
O6 O 0.484 0.975 0.870
```

Largest 10 diffraction maxima, by angle, 15° ≤ 2θ ≤ 90°:
hkl  2θ/deg  intensity
0 1 -2  18.27  100
-1 1 2  34.19  16
0 2 2  36.14  15
1 0 2  36.39  12
0 2 -4  37.03  9
1 0 -4  40.93  35
1 -1 4  44.26  56
0 1 -8  61.50  16
1 3 -4  62.19  8
2 -1 0  62.24  8


> Which formula does entry 4 have?

TlCrMo2O8